Theoretical PXRD pattern
Compound: NpZn12
Radiation: λ = 1.5418 Å (Cu Kα)
Structure: a crystal structure in OQMD, relaxed with GGA-PBE

Structure:
Lattice parameters (Å, degrees): 6.772 6.772 6.772 98.37 98.37 135.15
Atoms (fractional coordinates):
Np (0.000, 0.000, 0.000)
Zn (0.000, 0.000, 0.500)
Zn (0.000, 0.352, 0.352)
Zn (0.000, 0.500, 0.000)
Zn (0.000, 0.648, 0.648)
Zn (0.286, 0.500, 0.786)
Zn (0.352, 0.000, 0.352)
Zn (0.500, 0.000, 0.000)
Zn (0.500, 0.286, 0.786)
Zn (0.500, 0.500, 0.500)
Zn (0.500, 0.714, 0.214)
Zn (0.648, 0.000, 0.648)
Zn (0.714, 0.500, 0.214)

Principal peaks in the range 10 to 90 degrees two-theta, by angle:
| d_spacing | 2theta | I (rel.) |
| --- | --- | --- |
| 3.142 | 28.40 | 24 |
| 2.562 | 35.02 | 35 |
| 2.231 | 40.43 | 46 |
| 2.216 | 40.72 | 100 |
| 1.410 | 66.29 | 15 |
| 1.281 | 73.99 | 14 |